The following is a computed X-ray powder pattern of Pm10Tl3Te3. It was derived from a crystal structure in Alexandria, relaxed with PBE, using a wavelength of 1.5418 Å.

Principal peaks in the range 10 to 90 degrees two-theta, in order of rising 2θ:
27.10 deg, intensity 17, (0 0 2)
29.37 deg, intensity 32, (2 1 0)
32.45 deg, intensity 79, (2 1 1)
33.40 deg, intensity 100, (3 0 0)
51.39 deg, intensity 31, (2 1 3)
64.50 deg, intensity 17, (5 0 2)

Crystal structure
abc: 9.2843 9.2843 6.5813
angles: 90.00 90.00 120.00
Space group P-62m (No. 189)
Inequivalent atoms, fractional coordinates:
Pm (0.0000, 0.2443, 0.0000) (multiplicity 3)
Pm (0.0000, 0.7587, 0.5000) (multiplicity 3)
Pm (0.3333, 0.6667, 0.2484) (multiplicity 4)
Tl (0.0000, 0.3913, 0.5000) (multiplicity 3)
Te (0.0000, 0.6142, 0.0000) (multiplicity 3)